The following is a computed powder XRD pattern of Sr4Al6WO16. It was derived from a structure optimized by DFT (PBE+U), using Cu Kα.
Lines closer than 0.1° are merged.

Crystal structure
a = 9.635 Å, b = 9.635 Å, c = 9.635 Å
α = 90.00°, β = 90.00°, γ = 90.00°
Space group I-43m (No. 217)
Unique sites:
Sr: 0.248 0.248 0.248
Al: 0.000 0.250 0.500
W: 0.000 0.000 0.000
O: 0.002 0.342 0.658
O: 0.108 0.108 0.892

Top 10 peaks for 2θ from 10° to 90°, sorted by position:
| h k l | 2θ/deg | Rel. int. |
| --- | --- | --- |
| 1 1 0 | 12.99 | 22 |
| 2 1 1 | 22.61 | 100 |
| 2 2 0 | 26.16 | 74 |
| 3 2 1 | 34.84 | 26 |
| 4 0 0 | 37.33 | 29 |
| 3 3 0 | 39.69 | 21 |
| 4 2 2 | 46.16 | 45 |
| 4 4 0 | 53.82 | 25 |
| 6 2 0 | 60.80 | 17 |
| 6 4 2 | 73.56 | 17 |